Cd2Hg3Pd8: theoretical X-ray diffraction stick pattern (a wavelength of 1.5418 Å), based on a cell relaxed with GGA-PBE.
Intensities are scaled so that the largest is 100.

Most intense lines, 2θ from 15° to 90°, low angle first:
2θ 18.6, d = 4.777 Å, rel. 27
2θ 30.7, d = 2.911 Å, rel. 100
2θ 34.8, d = 2.575 Å, rel. 43
2θ 36.9, d = 2.436 Å, rel. 42
2θ 37.2, d = 2.418 Å, rel. 21
2θ 39.4, d = 2.285 Å, rel. 48
2θ 40.4, d = 2.234 Å, rel. 68
2θ 42.1, d = 2.147 Å, rel. 56
2θ 43.2, d = 2.096 Å, rel. 29
2θ 43.7, d = 2.070 Å, rel. 41
2θ 57.4, d = 1.606 Å, rel. 21
2θ 73.4, d = 1.290 Å, rel. 18

Cell and atoms:
Cell: 7.8878 7.8878 5.3585 Å, 104.34 104.34 55.48°
Sites, in units of the cell vectors:
Cd: 0.1621 0.1621 0.1973
Cd: 0.8379 0.8379 0.8027
Hg: 0.2184 0.7816 0.5000
Hg: 0.5000 0.5000 0.0000
Hg: 0.7816 0.2184 0.5000
Pd: 0.1603 0.5209 0.0696
Pd: 0.1791 0.1791 0.7003
Pd: 0.3537 0.3537 0.5496
Pd: 0.4791 0.8397 0.9304
Pd: 0.5209 0.1603 0.0696
Pd: 0.6463 0.6463 0.4504
Pd: 0.8209 0.8209 0.2997
Pd: 0.8397 0.4791 0.9304